Diffraction record for Sm3HfGe6. The X-ray powder pattern is computed, not measured: it uses the GGA-PBE geometry in Alexandria and Cu Kα, 1.54184 Å.
Peak positions follow from Bragg's law for the DFT cell and can differ from measured ones.

Largest 10 diffraction maxima, most intense first, 10° ≤ 2θ ≤ 80°:
| d/Å | I (rel.) |
| --- | --- |
| 2.489 | 100 |
| 2.686 | 55 |
| 3.186 | 15 |
| 1.595 | 13 |
| 4.974 | 12 |
| 1.708 | 12 |
| 1.890 | 12 |
| 1.961 | 11 |
| 3.149 | 9 |
| 1.816 | 9 |

Cell and atoms:
Cell: 7.6654 7.6654 7.6654 Å, 97.24 97.24 97.24°
Positions (direct):
Sm 0.1807 0.7500 0.3193
Sm 0.2500 0.6807 0.8193
Sm 0.3193 0.1807 0.7500
Sm 0.6807 0.8193 0.2500
Sm 0.7500 0.3193 0.1807
Sm 0.8193 0.2500 0.6807
Hf 0.0000 0.0000 0.0000
Hf 0.5000 0.5000 0.5000
Ge 0.0124 0.0896 0.3660
Ge 0.0896 0.3660 0.0124
Ge 0.1340 0.4104 0.4876
Ge 0.3660 0.0124 0.0896
Ge 0.4104 0.4876 0.1340
Ge 0.4876 0.1340 0.4104
Ge 0.5124 0.8660 0.5896
Ge 0.5896 0.5124 0.8660
Ge 0.6340 0.9876 0.9104
Ge 0.8660 0.5896 0.5124
Ge 0.9104 0.6340 0.9876
Ge 0.9876 0.9104 0.6340